Cs2CoAg2F6: simulated XRD peak list (Cu Kα), based on a GGA+U-relaxed structure.

Atomic structure:
```
11
Lattice="3.3389 1.9277 5.7523 -3.3389 1.9277 5.7523 0.0000 -3.8554 5.7523" Properties=species:S:1:pos:R:3 pbc="T T T"
Cs 0.0000 0.0000 3.8101
Cs 0.0000 0.0000 13.4468
Co 0.0000 0.0000 0.0000
Ag 0.0000 0.0000 7.1997
Ag 0.0000 0.0000 10.0572
F -1.9272 -1.1127 10.2259
F 0.0000 -2.2254 7.0310
F -1.9272 1.1127 7.0310
F 1.9272 -1.1127 10.2259
F 0.0000 2.2254 10.2259
F 1.9272 1.1127 7.0310
```

Top 10 peaks for 10° ≤ 2θ ≤ 90°, in order of rising 2θ:
26.70°, d = 3.339 Å, I 100; 30.15°, d = 2.964 Å, I 55; 31.10°, d = 2.876 Å, I 13; 40.71°, d = 2.216 Å, I 22; 41.44°, d = 2.179 Å, I 14; 47.15°, d = 1.928 Å, I 19; 49.35°, d = 1.847 Å, I 35; 55.00°, d = 1.669 Å, I 19; 55.24°, d = 1.663 Å, I 11; 64.01°, d = 1.455 Å, I 12